No. 1
# Fe4P3O12
Simulated X-ray diffraction stick pattern, λ = 1.5418 Å (Cu Kα). Input: a GGA+U-relaxed structure.
Neutral-atom scattering factors, no anomalous dispersion.

Structure:
```
data_Fe4P3O12
_chemical_formula_sum 'Fe16 P12 O48'
_cell_length_a 12.2145
_cell_length_b 12.8189
_cell_length_c 6.5625
_cell_angle_alpha 90.00
_cell_angle_beta 114.87
_cell_angle_gamma 90.00
_space_group_name_H-M_alt 'C 1 c 1'
_space_group_IT_number 9
_space_group_name_Hall 'C -2yc'
loop_
_atom_site_label
_atom_site_fract_x
_atom_site_fract_y
_atom_site_fract_z
_atom_site_occupancy
Fe1 0.0000 0.0032 0.0000 1
Fe2 0.2099 0.3456 0.8577 1
Fe3 0.2859 0.1438 0.6234 1
Fe4 0.4965 0.2455 0.4930 1
P1 0.2336 0.3931 0.3693 1
P2 0.2561 0.1193 0.1088 1
P3 0.4947 0.2895 0.9920 1
O1 0.0379 0.2808 0.7045 1
O2 0.0926 0.1289 0.5021 1
O3 0.1187 0.1193 0.0681 1
O4 0.1655 0.3401 0.1347 1
O5 0.1881 0.4946 0.8595 1
O6 0.2140 0.3278 0.5509 1
O7 0.2667 0.1930 0.9275 1
O8 0.2945 0.0099 0.0803 1
O9 0.3334 0.1654 0.3446 1
O10 0.3716 0.3928 0.4275 1
O11 0.3947 0.3683 0.9919 1
O12 0.4537 0.2240 0.7774 1
```

Top 10 peaks for 2θ from 15° to 90°, by intensity:
d_spacing, Rel. int., h k l
2.773, 100, 2 4 0
3.138, 74, 1 1 -2
3.549, 39, 3 1 0
2.662, 21, 4 0 -2
2.977, 20, 0 0 2
2.139, 19, 3 1 -3
1.689, 17, 6 4 -2
1.967, 13, 5 3 0
4.257, 13, 1 1 1
1.618, 12, 2 0 -4

No. 2
# FePO4
Simulated X-ray diffraction stick pattern, λ = 1.5418 Å (Cu Kα). Input: a GGA+U-relaxed structure.
Neutral-atom scattering factors, no anomalous dispersion.

Structure:
```
data_FePO4
_chemical_formula_sum 'Fe2 P2 O8'
_cell_length_a 5.2199
_cell_length_b 5.2199
_cell_length_c 7.7251
_cell_angle_alpha 90.00
_cell_angle_beta 90.00
_cell_angle_gamma 90.00
_space_group_name_H-M_alt 'I -4'
_space_group_IT_number 82
_space_group_name_Hall 'I -4'
loop_
_atom_site_label
_atom_site_fract_x
_atom_site_fract_y
_atom_site_fract_z
_atom_site_occupancy
Fe1 0.0000 0.0000 0.0000 1
P1 0.0000 0.5000 0.7500 1
O1 0.1046 0.2804 0.8639 1
```

Top 10 peaks for 2θ from 15° to 90°, by intensity:
d_spacing, Rel. int., h k l
4.325, 100, 1 0 1
2.669, 31, 1 1 2
1.730, 14, 2 1 3
2.235, 11, 1 2 1
1.518, 8, 3 1 2
2.610, 7, 2 0 0
1.552, 6, 2 0 4
1.423, 5, 3 2 1
1.288, 4, 2 1 5
2.309, 4, 1 0 3

No. 3
# FeP2O7
Simulated X-ray diffraction stick pattern, λ = 1.5418 Å (Cu Kα). Input: a GGA+U-relaxed structure.
Neutral-atom scattering factors, no anomalous dispersion.

Structure:
```
data_FeP2O7
_chemical_formula_sum 'Fe4 P8 O28'
_cell_length_a 8.3449
_cell_length_b 5.2432
_cell_length_c 13.6806
_cell_angle_alpha 90.00
_cell_angle_beta 109.55
_cell_angle_gamma 90.00
_space_group_name_H-M_alt 'P 1 21/c 1'
_space_group_IT_number 14
_space_group_name_Hall '-P 2ybc'
loop_
_atom_site_label
_atom_site_fract_x
_atom_site_fract_y
_atom_site_fract_z
_atom_site_occupancy
Fe1 0.2325 0.2486 0.1432 1
P1 0.1975 0.7381 0.9800 1
P2 0.3293 0.7297 0.8027 1
O1 0.0201 0.7124 0.4031 1
O2 0.2158 0.0378 0.5188 1
O3 0.2314 0.5508 0.2357 1
O4 0.2415 0.0281 0.2670 1
O5 0.2522 0.5700 0.5677 1
O6 0.3316 0.7268 0.4194 1
O7 0.4852 0.2234 0.6898 1
```

Top 10 peaks for 2θ from 15° to 90°, by intensity:
d_spacing, Rel. int., h k l
4.067, 100, 0 1 2
3.932, 64, 2 0 0
2.858, 33, 1 1 -4
2.622, 13, 0 2 0
2.569, 12, 2 1 2
2.774, 9, 3 0 -2
1.687, 8, 0 3 2
2.086, 7, 4 0 -2
1.639, 7, 4 1 2
1.661, 6, 5 0 -2

No. 4
# FePO4
Simulated X-ray diffraction stick pattern, λ = 1.5418 Å (Cu Kα). Input: a GGA+U-relaxed structure.
Neutral-atom scattering factors, no anomalous dispersion.

Structure:
```
data_FePO4
_chemical_formula_sum 'Fe4 P4 O16'
_cell_length_a 4.8450
_cell_length_b 5.8845
_cell_length_c 9.9416
_cell_angle_alpha 89.96
_cell_angle_beta 89.79
_cell_angle_gamma 89.99
_space_group_name_H-M_alt 'P 1'
_space_group_IT_number 1
_space_group_name_Hall 'P 1'
loop_
_atom_site_label
_atom_site_fract_x
_atom_site_fract_y
_atom_site_fract_z
_atom_site_occupancy
Fe1 0.0000 0.0000 0.0000 1
Fe2 0.0779 0.4977 0.4466 1
Fe3 0.4851 0.5021 0.9407 1
Fe4 0.5762 0.9980 0.4964 1
P1 0.1288 0.9979 0.3163 1
P2 0.4617 0.9975 0.8228 1
P3 0.6275 0.4981 0.6264 1
P4 0.9618 0.4984 0.1206 1
O1 0.1983 0.9973 0.1665 1
O2 0.2763 0.2005 0.3923 1
O3 0.2766 0.7951 0.3922 1
O4 0.2793 0.4946 0.1037 1
O5 0.3075 0.1986 0.8963 1
O6 0.3085 0.7943 0.8970 1
O7 0.3167 0.4979 0.6032 1
O8 0.3990 0.9967 0.6725 1
O9 0.6978 0.4949 0.7765 1
O10 0.7738 0.9974 0.8440 1
O11 0.7756 0.2950 0.5510 1
O12 0.7760 0.7009 0.5510 1
O13 0.8178 0.2926 0.0483 1
O14 0.8180 0.9981 0.3409 1
O15 0.8197 0.7042 0.0478 1
O16 0.8999 0.4983 0.2717 1
```

Top 10 peaks for 2θ from 15° to 90°, by intensity:
d_spacing, Rel. int., h k l
4.356, 100, 1 0 1
3.501, 91, 1 1 -1
4.971, 79, 0 0 2
2.942, 77, 0 2 0
2.477, 49, 1 1 -3
2.484, 47, 1 1 3
1.595, 38, 0 1 -6
2.438, 32, 1 2 1
3.797, 22, 0 1 2
1.870, 21, 2 2 0